Entry 1:
For Pm3HoTm2, a DFT-relaxed cell (GGA-PBE, Alexandria) gives the computed X-ray diffraction stick pattern in this record (λ = 1.5418 Å (Cu Kα)).
Intensities are scaled so that the largest is 100.

Structure:
Unit cell a=9.4652 b=9.4652 c=6.1788 alpha=90.23 beta=90.23 gamma=44.42
Element x y z (fractional)
Pm  0.1249  0.8751  0.7500
Pm  0.2078  0.4582  0.5832
Pm  0.4582  0.2078  0.0832
Pm  0.5418  0.7922  0.9168
Pm  0.7922  0.5418  0.4168
Pm  0.8751  0.1249  0.2500
Ho  0.3747  0.6253  0.2500
Ho  0.6253  0.3747  0.7500
Tm  0.0422  0.2915  0.9173
Tm  0.2915  0.0422  0.4173
Tm  0.7085  0.9578  0.5827
Tm  0.9578  0.7085  0.0827

Top 12 peaks for 2θ from 10° to 90°, by angle:
| Position (°2θ) | d_spacing | I/Imax |
| --- | --- | --- |
| 30.63 | 2.918 | 100 |
| 35.46 | 2.531 | 34 |
| 35.63 | 2.520 | 17 |
| 51.02 | 1.790 | 12 |
| 51.15 | 1.786 | 24 |
| 60.70 | 1.526 | 29 |
| 60.92 | 1.521 | 14 |
| 63.78 | 1.459 | 12 |
| 83.29 | 1.160 | 6 |
| 83.42 | 1.159 | 9 |
| 85.84 | 1.132 | 6 |
| 85.94 | 1.131 | 6 |

---

Entry 2:
For Pm6HoTm6, a DFT-relaxed cell (GGA-PBE, Alexandria) gives the computed X-ray diffraction stick pattern in this record (λ = 1.5418 Å (Cu Kα)).
Intensities are scaled so that the largest is 100.

Structure:
Unit cell a=6.5728 b=6.5728 c=11.0549 alpha=90.00 beta=90.00 gamma=114.97
Element x y z (fractional)
Pm  0.0000  0.0000  0.1742
Pm  0.0000  0.0000  0.8258
Pm  0.2628  0.7372  0.0000
Pm  0.3579  0.6421  0.5000
Pm  0.6421  0.3579  0.5000
Pm  0.7372  0.2628  0.0000
Ho  0.0000  0.0000  0.5000
Tm  0.0000  0.5000  0.2758
Tm  0.0000  0.5000  0.7242
Tm  0.5000  0.0000  0.2758
Tm  0.5000  0.0000  0.7242
Tm  0.5000  0.5000  0.1981
Tm  0.5000  0.5000  0.8019

Top 12 peaks for 2θ from 10° to 90°, by angle:
| Position (°2θ) | d_spacing | I/Imax |
| --- | --- | --- |
| 29.10 | 3.069 | 77 |
| 30.00 | 2.978 | 94 |
| 31.76 | 2.817 | 27 |
| 32.34 | 2.768 | 69 |
| 34.19 | 2.623 | 100 |
| 35.19 | 2.550 | 32 |
| 36.29 | 2.476 | 36 |
| 42.24 | 2.139 | 19 |
| 51.74 | 1.767 | 21 |
| 59.55 | 1.553 | 25 |
| 60.47 | 1.531 | 21 |
| 62.35 | 1.489 | 21 |

---

Entry 3:
For Pm4Ho4Tm, a DFT-relaxed cell (GGA-PBE, Alexandria) gives the computed X-ray diffraction stick pattern in this record (λ = 1.5418 Å (Cu Kα)).
Intensities are scaled so that the largest is 100.

Structure:
Unit cell a=8.0008 b=8.0008 c=8.0008 alpha=95.73 beta=95.73 gamma=143.18
Element x y z (fractional)
Pm  0.0000  0.3309  0.3309
Pm  0.0000  0.6691  0.6691
Pm  0.3309  0.0000  0.3309
Pm  0.6691  0.0000  0.6691
Ho  0.3343  0.3343  0.6686
Ho  0.3343  0.6657  0.0000
Ho  0.6657  0.3343  0.0000
Ho  0.6657  0.6657  0.3314
Tm  0.0000  0.0000  0.0000

Top 11 peaks for 2θ from 10° to 90°, by angle:
| Position (°2θ) | d_spacing | I/Imax |
| --- | --- | --- |
| 11.66 | 7.591 | 1 |
| 30.61 | 2.921 | 100 |
| 35.49 | 2.529 | 51 |
| 51.07 | 1.788 | 36 |
| 60.72 | 1.525 | 43 |
| 63.73 | 1.460 | 12 |
| 75.08 | 1.265 | 4 |
| 75.20 | 1.263 | 2 |
| 83.26 | 1.161 | 18 |
| 85.90 | 1.131 | 11 |
| 86.00 | 1.130 | 6 |

---

Entry 4:
For PmHo8Tm2, a DFT-relaxed cell (GGA-PBE, Alexandria) gives the computed X-ray diffraction stick pattern in this record (λ = 1.5418 Å (Cu Kα)).
Intensities are scaled so that the largest is 100.

Structure:
Unit cell a=9.2849 b=9.2849 c=9.2849 alpha=145.80 beta=128.45 gamma=63.33
Element x y z (fractional)
Pm  0.0000  0.0000  0.0000
Ho  0.1538  0.8604  0.2934
Ho  0.1638  0.6638  0.5000
Ho  0.2953  0.5000  0.7953
Ho  0.4330  0.1396  0.2934
Ho  0.5670  0.8604  0.7066
Ho  0.7047  0.5000  0.2047
Ho  0.8362  0.3362  0.5000
Ho  0.8462  0.1396  0.7066
Tm  0.3004  0.3004  0.0000
Tm  0.6996  0.6996  0.0000

Top 12 peaks for 2θ from 10° to 90°, by angle:
| Position (°2θ) | d_spacing | I/Imax |
| --- | --- | --- |
| 24.76 | 3.596 | 9 |
| 30.03 | 2.976 | 25 |
| 32.39 | 2.764 | 100 |
| 32.78 | 2.732 | 50 |
| 33.78 | 2.654 | 11 |
| 34.03 | 2.634 | 15 |
| 47.99 | 1.896 | 11 |
| 52.93 | 1.730 | 10 |
| 56.69 | 1.624 | 10 |
| 58.29 | 1.583 | 19 |
| 63.68 | 1.461 | 11 |
| 64.64 | 1.442 | 11 |

---

Entry 5:
For Pm4Ho5Tm, a DFT-relaxed cell (GGA-PBE, Alexandria) gives the computed X-ray diffraction stick pattern in this record (λ = 1.5418 Å (Cu Kα)).
Intensities are scaled so that the largest is 100.

Structure:
Unit cell a=3.5217 b=8.7380 c=11.1516 alpha=90.08 beta=90.01 gamma=101.56
Element x y z (fractional)
Pm  0.0305  0.0611  0.2494
Pm  0.3454  0.6877  0.2503
Pm  0.6546  0.3123  0.7497
Pm  0.9695  0.9389  0.7506
Ho  0.1726  0.3462  0.0505
Ho  0.1730  0.3472  0.4481
Ho  0.5000  0.0000  0.5000
Ho  0.8270  0.6528  0.5519
Ho  0.8274  0.6538  0.9495
Tm  0.5000  0.0000  0.0000

Top 12 peaks for 2θ from 10° to 90°, by angle:
| Position (°2θ) | d_spacing | I/Imax |
| --- | --- | --- |
| 26.14 | 3.410 | 19 |
| 27.06 | 3.295 | 22 |
| 31.35 | 2.854 | 30 |
| 31.89 | 2.807 | 26 |
| 32.11 | 2.788 | 18 |
| 33.96 | 2.640 | 100 |
| 45.90 | 1.977 | 10 |
| 48.61 | 1.873 | 15 |
| 51.94 | 1.761 | 11 |
| 57.49 | 1.603 | 12 |
| 61.92 | 1.499 | 9 |
| 62.18 | 1.493 | 14 |

---

Entry 6:
For Pm10HoTm4, a DFT-relaxed cell (GGA-PBE, Alexandria) gives the computed X-ray diffraction stick pattern in this record (λ = 1.5418 Å (Cu Kα)).
Intensities are scaled so that the largest is 100.

Structure:
Unit cell a=9.4865 b=9.4865 c=9.4865 alpha=99.57 beta=99.57 gamma=131.87
Element x y z (fractional)
Pm  0.0495  0.3500  0.8991
Pm  0.1504  0.0495  0.6996
Pm  0.2500  0.7500  0.5000
Pm  0.3500  0.4509  0.3004
Pm  0.4509  0.1504  0.1009
Pm  0.5491  0.8496  0.8991
Pm  0.6500  0.5491  0.6996
Pm  0.7500  0.2500  0.5000
Pm  0.8496  0.9505  0.3004
Pm  0.9505  0.6500  0.1009
Ho  0.0000  0.0000  0.0000
Tm  0.2004  0.3998  0.6002
Tm  0.3998  0.7996  0.1994
Tm  0.6002  0.2004  0.8006
Tm  0.7996  0.6002  0.3998

Top 12 peaks for 2θ from 10° to 90°, by angle:
| Position (°2θ) | d_spacing | I/Imax |
| --- | --- | --- |
| 19.86 | 4.471 | 30 |
| 22.97 | 3.872 | 9 |
| 32.71 | 2.738 | 100 |
| 38.56 | 2.335 | 17 |
| 46.93 | 1.936 | 18 |
| 51.43 | 1.777 | 7 |
| 58.38 | 1.581 | 38 |
| 62.30 | 1.490 | 6 |
| 68.55 | 1.369 | 12 |
| 72.17 | 1.309 | 5 |
| 78.01 | 1.225 | 11 |
| 78.11 | 1.224 | 5 |